For Cu2AsO6, a crystal structure in the Materials Project, relaxed with PBE gives the theoretical PXRD pattern in this record (a wavelength of 1.5418 Å).
Kinematic intensities with the Lorentz-polarization factor, no thermal factor.

Largest 10 diffraction maxima, sorted by position, 2θ = 10–90°:
- (0 0 1), 2θ = 18.64°, I 335
- (0 1 1), 2θ = 21.47°, I 1000
- (0 2 1), 2θ = 28.39°, I 771
- (1 1 0), 2θ = 31.94°, I 293
- (0 3 0), 2θ = 32.07°, I 373
- (1 0 1), 2θ = 35.60°, I 442
- (1 1 1), 2θ = 37.24°, I 296
- (1 3 1), 2θ = 48.66°, I 364
- (0 3 2), 2θ = 50.36°, I 253
- (1 2 2), 2θ = 53.99°, I 240

Atomic structure:
a b c (Å): 2.9733 8.3727 4.7599
angles (deg): 90.00 90.00 90.00
Space group Pmm2 (No. 25)
Unique sites:
Cu: 0.0000 0.1851 0.0000
As: 0.5000 0.5000 0.3930
O: 0.0000 0.0000 0.2160
O: 0.0000 0.5000 0.6179
O: 0.5000 0.1412 0.7675
O: 0.5000 0.3304 0.1989